This entry pairs a crystal structure of BaFeBiO4 with its simulated X-ray powder pattern. Radiation: Cu Ka. Structure: a cell relaxed with PBE+U.
Lines closer than 0.1° are merged.

Principal peaks in the range 2θ = 10–90°, low angle first:
- (1 1 0), 2θ 21.00, intensity 100
- (1 0 1), 2θ 23.62, intensity 28
- (1 1 -2), 2θ 28.34, intensity 96
- (0 2 0), 2θ 29.46, intensity 52
- (1 1 2), 2θ 38.43, intensity 35
- (1 3 -2), 2θ 51.53, intensity 30

Crystal structure
Cell lengths 6.4776, 6.0641, 7.4927 Å; angles 90.00, 114.25, 90.00 degrees
Space group P2_1/m (No. 11)
Symmetry-distinct sites (fractional):
Ba  0.2175  0.2500  0.4721 (multiplicity 2)
Fe  0.2161  0.7500  0.1942 (multiplicity 2)
Bi  0.3071  0.2500  0.0315 (multiplicity 2)
O  0.0012  0.7500  0.9270 (multiplicity 2)
O  0.0300  0.7500  0.3289 (multiplicity 2)
O  0.4245  0.5064  0.2525 (multiplicity 4)